Entry 1:
PuGa2Br6: calculated X-ray diffraction stick pattern (Cu Kα (λ = 1.5418 Å)), based on DFT lattice parameters and positions (GGA-PBE).
Kinematic intensities with the Lorentz-polarization factor, no thermal factor.

Principal peaks in the range 10° ≤ 2θ ≤ 90°, sorted by position:
- 2θ 11.73, I 608
- 2θ 13.46, I 1000
- 2θ 14.65, I 457
- 2θ 16.80, I 764
- 2θ 22.22, I 610
- 2θ 28.24, I 909
- 2θ 28.87, I 597
- 2θ 29.11, I 467
- 2θ 31.77, I 590
- 2θ 34.59, I 478

Structural model:
```
PuGa2Br6
1.0
6.7039 -7.5465 0.0000
6.7039 7.5465 0.0000
-1.3383 0.0000 6.8271
Pu Ga Br
2 4 12
Direct
0.0821 0.9179 0.7500
0.9179 0.0821 0.2500
0.2855 0.4898 0.8955
0.4898 0.2855 0.3955
0.5102 0.7145 0.6045
0.7145 0.5102 0.1045
0.0618 0.1788 0.6292
0.0699 0.6675 0.8641
0.1788 0.0618 0.1292
0.3097 0.4999 0.4996
0.3325 0.9301 0.6359
0.4999 0.3097 0.9996
0.5001 0.6903 0.0004
0.6675 0.0699 0.3641
0.6903 0.5001 0.5004
0.8212 0.9382 0.8708
0.9301 0.3325 0.1359
0.9382 0.8212 0.3708
```


Entry 2:
BaZrRe2: calculated X-ray diffraction stick pattern (Cu Kα (λ = 1.5418 Å)), based on DFT lattice parameters and positions (GGA-PBE).
Kinematic intensities with the Lorentz-polarization factor, no thermal factor.

Principal peaks in the range 10° ≤ 2θ ≤ 90°, sorted by position:
- 2θ 11.05, I 1000
- 2θ 22.21, I 170
- 2θ 31.51, I 543
- 2θ 33.58, I 128
- 2θ 36.89, I 400
- 2θ 37.35, I 238
- 2θ 38.45, I 391
- 2θ 40.55, I 169
- 2θ 45.01, I 192
- 2θ 50.95, I 140

Structural model:
```
BaZrRe2
1.0
3.0598 0.0000 0.0000
0.0000 4.0282 0.0000
-0.1588 0.0000 8.0064
Ba Zr Re
1 1 2
Direct
0.0000 0.0000 0.0000
0.1895 0.5000 0.3718
0.4022 0.5000 0.6826
0.7610 0.0000 0.5655
```


Entry 3:
Np2TeSe2S2: calculated X-ray diffraction stick pattern (Cu Kα (λ = 1.5418 Å)), based on DFT lattice parameters and positions (GGA-PBE).
Kinematic intensities with the Lorentz-polarization factor, no thermal factor.

Principal peaks in the range 10° ≤ 2θ ≤ 90°, sorted by position:
- 2θ 21.66, I 281
- 2θ 24.59, I 1000
- 2θ 27.65, I 430
- 2θ 37.66, I 512
- 2θ 41.27, I 452
- 2θ 43.87, I 306
- 2θ 47.08, I 228
- 2θ 48.63, I 163
- 2θ 57.10, I 153
- 2θ 72.86, I 149

Structural model:
```
Np2TeSe2S2
1.0
4.3746 0.0000 0.0000
-2.1873 3.7885 0.0000
0.0000 0.0000 12.3061
Np Te Se S
2 1 2 2
Direct
0.3333 0.6667 0.1517
0.6667 0.3333 0.8483
0.0000 0.0000 0.5000
0.0000 0.0000 0.2757
0.0000 0.0000 0.7243
0.3333 0.6667 0.9226
0.6667 0.3333 0.0774
```


Entry 4:
NaZn3Au9: calculated X-ray diffraction stick pattern (Cu Kα (λ = 1.5418 Å)), based on DFT lattice parameters and positions (GGA-PBE).
Kinematic intensities with the Lorentz-polarization factor, no thermal factor.

Principal peaks in the range 10° ≤ 2θ ≤ 90°, sorted by position:
- 2θ 19.25, I 298
- 2θ 33.00, I 335
- 2θ 33.74, I 252
- 2θ 37.32, I 301
- 2θ 38.42, I 1000
- 2θ 41.62, I 343
- 2θ 42.75, I 223
- 2θ 43.03, I 242
- 2θ 43.18, I 416
- 2θ 43.94, I 219

Structural model:
```
NaZn3Au9
1.0
2.7194 -6.5899 0.0000
2.7194 6.5899 0.0000
-2.3068 0.0000 6.6541
Na Zn Au
1 3 9
Direct
0.0000 0.0000 0.0000
0.0000 0.5000 0.0000
0.5000 0.0000 0.0000
0.5000 0.5000 0.5000
0.0000 0.0000 0.5000
0.0353 0.6805 0.6668
0.3070 0.5256 0.7860
0.3195 0.9647 0.3332
0.4744 0.6930 0.2140
0.5256 0.3070 0.7860
0.6805 0.0353 0.6668
0.6930 0.4744 0.2140
0.9647 0.3195 0.3332
```